(1)
HoIn2IrO8: theoretical XRD peak list (Cu Kα X-rays), based on DFT lattice parameters and positions (PBE).

Peak list (10 most intense, 10 to 80 degrees two-theta, by intensity)
32.59 deg, I 100.0, (1 2 0)
25.24 deg, I 60.5, (1 0 -1)
25.75 deg, I 55.7, (1 0 1)
49.34 deg, I 40.5, (2 2 -1)
49.91 deg, I 37.9, (2 2 1)
36.37 deg, I 29.8, (0 0 2)
63.06 deg, I 22.4, (0 2 3)
17.95 deg, I 11.0, (1 0 0)
68.28 deg, I 10.9, (0 4 2)
62.01 deg, I 10.1, (1 4 -1)

Unit cell a=4.9393 b=6.6111 c=4.9445 alpha=90.00 beta=91.11 gamma=90.00
Space group P2/m (No. 10)
Asymmetric unit:
1 Ho 0.0000 0.0000 0.0000 (multiplicity 1)
2 In 0.5000 0.2505 0.5000 (multiplicity 2)
3 Ir 0.0000 0.5000 0.0000 (multiplicity 1)
4 O 0.1864 0.2868 0.8153 (multiplicity 4)
5 O 0.2819 0.5000 0.2837 (multiplicity 2)
6 O 0.3082 0.0000 0.3102 (multiplicity 2)

***

(2)
Zr6HgBi: theoretical XRD peak list (Cu Kα X-rays), based on DFT lattice parameters and positions (PBE).

Peak list (10 most intense, 10 to 80 degrees two-theta, by intensity)
38.97 deg, I 100.0, (1 2 2)
61.27 deg, I 53.5, (4 1 0)
35.46 deg, I 50.8, (2 1 1)
31.61 deg, I 43.9, (2 0 2)
22.21 deg, I 27.1, (1 1 0)
75.04 deg, I 14.9, (4 2 2)
66.01 deg, I 13.8, (4 0 4)
58.81 deg, I 11.3, (1 2 5)
79.37 deg, I 9.7, (0 5 4)
77.21 deg, I 7.3, (3 3 3)

Unit cell a=8.0098 b=8.0098 c=9.7952 alpha=90.00 beta=90.00 gamma=120.00
Space group R-3 (No. 148, hexagonal axes)
Asymmetric unit:
1 Zr 0.0034 0.7520 0.2514 (multiplicity 18)
2 Hg 0.0000 0.0000 0.5000 (multiplicity 3)
3 Bi 0.0000 0.0000 0.0000 (multiplicity 3)